The following is a calculated PXRD pattern of PbC2S2N2. It was derived from DFT lattice parameters and positions (PBE), using λ = 1.5418 Å (Cu Kα).

The 10 most intense peaks (2θ = 15–90°), by angle:
d_spacing  I/Imax  h k l
5.490  100  1 1 0
5.037  64  2 0 0
4.588  93  1 1 -1
4.175  66  0 0 2
3.324  91  1 1 -2
3.212  45  2 0 2
2.988  64  3 1 0
2.608  94  2 2 -1
2.429  51  3 1 2
1.954  53  1 1 -4

Crystal structure
a b c (Å): 10.073 6.548 8.351
angles (deg): 90.00 90.10 90.00
Space group C2/c (No. 15)
Unique sites:
Pb1 0.000 0.104 0.250 x4
C1 0.119 0.364 0.603 x8
S1 0.204 0.444 0.170 x8
N1 0.058 0.220 0.554 x8